Starting from a crystal structure in Alexandria, relaxed with GGA-PBE, the X-ray powder pattern of Sr2Zn5Ni5 was simulated for λ = 1.5418 Å (Cu Kα).
Neutral-atom scattering factors, no anomalous dispersion.

Structure:
Cell lengths 3.968, 5.334, 9.288 Å; angles 90.00, 90.00, 90.00 degrees
Sites, in units of the cell vectors:
Sr (0.000, 0.000, 0.000)
Sr (0.000, 0.500, 0.500)
Zn (0.000, 0.000, 0.321)
Zn (0.000, 0.000, 0.679)
Zn (0.000, 0.500, 0.167)
Zn (0.000, 0.500, 0.833)
Zn (0.500, 0.000, 0.500)
Ni (0.500, 0.252, 0.248)
Ni (0.500, 0.252, 0.752)
Ni (0.500, 0.500, 0.000)
Ni (0.500, 0.748, 0.248)
Ni (0.500, 0.748, 0.752)

Top 12 peaks for 15 to 90 degrees two-theta, low angle first:
- 2θ = 29.7°, intensity 28
- 2θ = 33.5°, intensity 25
- 2θ = 38.8°, intensity 18
- 2θ = 38.9°, intensity 27
- 2θ = 40.6°, intensity 100
- 2θ = 40.8°, intensity 48
- 2θ = 45.4°, intensity 30
- 2θ = 45.7°, intensity 37
- 2θ = 64.9°, intensity 24
- 2θ = 70.3°, intensity 18
- 2θ = 81.1°, intensity 18
- 2θ = 88.0°, intensity 22